Computed PXRD pattern of Ta2InC for a wavelength of 1.5418 Å, from a cell relaxed with GGA-PBE.
Peak positions follow from Bragg's law for the DFT cell and can differ from measured ones.

Crystal structure
Cell: 3.1675 3.1675 14.5335 Å, 90.00 90.00 120.00°
Space group P6_3/mmc (No. 194)
One atom of each set of equivalent atoms:
1 Ta 0.3333 0.6667 0.0830 (multiplicity 4)
2 In 0.3333 0.6667 0.7500 (multiplicity 2)
3 C 0.0000 0.0000 0.0000 (multiplicity 2)

The 10 most intense peaks (2θ from 5° to 70°), low angle first:
2θ 12.18, rel. 8, hkl 0 0 2; 2θ 32.64, rel. 22, hkl 1 0 0; 2θ 33.24, rel. 2, hkl 1 0 1; 2θ 37.12, rel. 22, hkl 0 0 6; 2θ 37.68, rel. 100, hkl 1 0 3; 2θ 45.46, rel. 1, hkl 1 0 5; 2θ 50.25, rel. 16, hkl 1 0 6; 2θ 58.26, rel. 19, hkl 1 1 0; 2θ 67.28, rel. 18, hkl 1 0 9; 2θ 68.40, rel. 3, hkl 2 0 0